# CuP4S3I
Computed powder diffractogram, Cu Kα (weighted mean of Kα1 and Kα2). Input: DFT lattice parameters and positions (GGA-PBE).

Cell and atoms:
```
CuP4S3I
1.0
4.089 -11.063 0.000
4.089 11.063 0.000
0.000 0.000 10.910
Cu P S I
4 16 12 4
Cartesian
1.665 0.000 0.000 Cu
2.424 0.000 5.455 Cu
5.753 0.000 5.455 Cu
6.513 0.000 0.000 Cu
1.123 1.813 5.008 P
4.089 8.414 7.706 P
4.089 6.257 5.163 P
1.123 -1.813 5.902 P
2.966 1.813 0.447 P
4.089 4.807 10.618 P
4.089 2.650 2.251 P
2.966 -1.813 10.463 P
5.212 1.813 0.447 P
4.089 -2.650 8.658 P
4.089 -4.807 0.291 P
5.212 -1.813 10.463 P
7.054 1.813 5.008 P
4.089 -6.257 5.746 P
4.089 -8.414 3.204 P
7.054 -1.813 5.902 P
1.621 3.499 6.149 S
2.468 3.499 10.215 S
4.089 6.350 7.294 S
4.089 4.714 1.839 S
1.621 -3.499 4.760 S
2.468 -3.499 0.694 S
5.710 3.499 10.215 S
6.556 3.499 6.149 S
4.089 -4.714 9.070 S
4.089 -6.350 3.616 S
5.710 -3.499 0.694 S
6.556 -3.499 4.760 S
4.089 10.360 1.925 I
4.089 0.703 7.380 I
4.089 -0.703 3.529 I
4.089 -10.360 8.984 I
```

Peak list (8 most intense, 5 to 70 degrees two-theta, sorted by position)
8.0°, I = 100
18.1°, I = 62
27.1°, I = 25
27.3°, I = 29
28.2°, I = 16
28.4°, I = 42
29.4°, I = 19
43.3°, I = 16